No. 1
Theoretical X-ray diffraction stick pattern
Compound: K4Rb3Na4
Radiation: λ = 1.5418 Å (Cu Kα)
Structure: a crystal structure in Alexandria, relaxed with PBE
Neutral-atom scattering factors, no anomalous dispersion.

Largest 10 diffraction maxima, by angle, 15° ≤ 2θ ≤ 90°:
2θ/deg	I (rel.)	h k l
24.10	45.2	1 0 7
24.72	93.4	1 1 4
25.61	100.0	0 2 0
35.45	32.0	1 2 7
36.33	15.5	1 0 15
44.60	17.7	1 3 4
44.98	16.8	1 2 15
45.15	19.0	0 3 11
47.74	33.5	2 2 0
61.58	14.6	2 3 11

Structure:
```
data_K4Rb3Na4
_cell_length_a 4.5540
_cell_length_b 6.9591
_cell_length_c 44.1649
_cell_angle_alpha 90.00
_cell_angle_beta 90.00
_cell_angle_gamma 90.00
_space_group_name_H-M_alt 'I m m m'
_space_group_IT_number 71
_space_group_name_Hall '-I 2 2'
loop_
_atom_site_label
_atom_site_type_symbol
_atom_site_fract_x
_atom_site_fract_y
_atom_site_fract_z
K1 K 0.0000 0.0000 0.0918
K2 K 0.0000 0.5000 0.2347
Rb1 Rb 0.0000 0.0000 0.3596
Rb2 Rb 0.0000 0.5000 0.5000
Na1 Na 0.0000 0.0000 0.1829
Na2 Na 0.0000 0.5000 0.0423
```

No. 2
Theoretical X-ray diffraction stick pattern
Compound: K3Rb3Na5
Radiation: λ = 1.5418 Å (Cu Kα)
Structure: a crystal structure in Alexandria, relaxed with PBE
Neutral-atom scattering factors, no anomalous dispersion.

Largest 10 diffraction maxima, by angle, 15° ≤ 2θ ≤ 90°:
2θ/deg	I (rel.)	h k l
18.26	47.2	2 0 0
21.82	100.0	2 0 1
23.82	41.9	0 0 2
24.23	42.2	2 1 0
30.07	22.7	3 0 1
30.18	27.7	2 0 2
34.19	59.5	2 2 1
40.71	18.8	2 0 3
44.46	30.1	4 0 2
51.23	27.3	4 2 1

Structure:
```
data_K3Rb3Na5
_cell_length_a 11.2205
_cell_length_b 11.2205
_cell_length_c 7.4722
_cell_angle_alpha 90.00
_cell_angle_beta 90.00
_cell_angle_gamma 120.00
_space_group_name_H-M_alt 'P -6 2 m'
_space_group_IT_number 189
_space_group_name_Hall 'P -6 -2'
loop_
_atom_site_label
_atom_site_type_symbol
_atom_site_fract_x
_atom_site_fract_y
_atom_site_fract_z
K1 K 0.0000 0.2412 0.0000
Rb1 Rb 0.0000 0.5103 0.5000
Na1 Na 0.0000 0.6068 0.0000
Na2 Na 0.3333 0.6667 0.0000
```

No. 3
Theoretical X-ray diffraction stick pattern
Compound: K5Rb6Na5
Radiation: λ = 1.5418 Å (Cu Kα)
Structure: a crystal structure in Alexandria, relaxed with PBE
Neutral-atom scattering factors, no anomalous dispersion.

Largest 10 diffraction maxima, by angle, 15° ≤ 2θ ≤ 90°:
2θ/deg	I (rel.)	h k l
21.19	24.4	1 4 0
22.63	35.6	2 0 0
22.89	51.8	1 1 3
23.34	18.3	0 5 1
24.87	100.0	1 4 2
25.92	18.5	0 0 4
27.18	19.7	2 3 1
27.65	21.3	2 2 2
39.88	17.5	0 5 5
41.12	24.4	3 4 2

Structure:
```
data_K5Rb6Na5
_cell_length_a 7.8593
_cell_length_b 19.8299
_cell_length_c 13.7610
_cell_angle_alpha 90.00
_cell_angle_beta 90.00
_cell_angle_gamma 90.00
_space_group_name_H-M_alt 'A m m 2'
_space_group_IT_number 38
loop_
_space_group_symop_operation_xyz
'x,y,z'
'-x,-y,z'
'-x,y,z'
'x,-y,z'
'x,y+1/2,z+1/2'
'-x,-y+1/2,z+1/2'
'-x,y+1/2,z+1/2'
'x,-y+1/2,z+1/2'
loop_
_atom_site_label
_atom_site_type_symbol
_atom_site_fract_x
_atom_site_fract_y
_atom_site_fract_z
K1 K 0.0000 0.0000 0.0000
K2 K 0.0000 0.1065 0.3008
K3 K 0.5000 0.1493 0.0999
Rb1 Rb 0.0000 0.0000 0.6393
Rb2 Rb 0.0000 0.2486 0.0504
Rb3 Rb 0.5000 0.0000 0.8304
Rb4 Rb 0.5000 0.1292 0.4997
Na1 Na 0.2630 0.1937 0.8012
Na2 Na 0.5000 0.0000 0.2699
```

No. 4
Theoretical X-ray diffraction stick pattern
Compound: K12Rb16Na
Radiation: λ = 1.5418 Å (Cu Kα)
Structure: a crystal structure in Alexandria, relaxed with PBE
Neutral-atom scattering factors, no anomalous dispersion.

Largest 10 diffraction maxima, by angle, 15° ≤ 2θ ≤ 90°:
2θ/deg	I (rel.)	h k l
22.10	23.6	0 0 3
22.34	81.7	1 3 -3
22.44	100.0	3 3 0
22.55	40.1	3 3 -3
22.72	74.0	1 5 -2
22.96	16.8	0 6 0
25.15	19.5	3 5 -1
39.15	17.5	1 5 -5
39.39	17.9	7 1 -5
39.70	18.0	2 8 2

Structure:
```
data_K12Rb16Na
_cell_length_a 16.8223
_cell_length_b 23.2417
_cell_length_c 14.6505
_cell_angle_alpha 90.00
_cell_angle_beta 124.55
_cell_angle_gamma 90.00
_space_group_name_H-M_alt 'C 1 m 1'
_space_group_IT_number 8
loop_
_space_group_symop_operation_xyz
'x,y,z'
'x,-y,z'
'x+1/2,y+1/2,z'
'x+1/2,-y+1/2,z'
loop_
_atom_site_label
_atom_site_type_symbol
_atom_site_fract_x
_atom_site_fract_y
_atom_site_fract_z
K1 K 0.0000 0.0000 0.0000
K2 K 0.0447 0.3119 0.3600
K3 K 0.0838 0.0921 0.7978
K4 K 0.1369 0.4082 0.1725
K5 K 0.1715 0.0000 0.3724
K6 K 0.3566 0.1894 0.9943
K7 K 0.4522 0.0949 0.5392
Rb1 Rb 0.0586 0.2973 0.8561
Rb2 Rb 0.1710 0.5000 0.8846
Rb3 Rb 0.1785 0.1803 0.1775
Rb4 Rb 0.2006 0.1566 0.5846
Rb5 Rb 0.2341 0.5000 0.5230
Rb6 Rb 0.2961 0.3452 0.7704
Rb7 Rb 0.3606 0.0000 0.1773
Rb8 Rb 0.3630 0.0000 0.8239
Rb9 Rb 0.3782 0.3040 0.4900
Rb10 Rb 0.4057 0.3743 0.1885
Na1 Na 0.4762 0.5000 0.4777
```

No. 5
Theoretical X-ray diffraction stick pattern
Compound: K3Rb7Na4
Radiation: λ = 1.5418 Å (Cu Kα)
Structure: a crystal structure in Alexandria, relaxed with PBE
Neutral-atom scattering factors, no anomalous dispersion.

Largest 10 diffraction maxima, by angle, 15° ≤ 2θ ≤ 90°:
2θ/deg	I (rel.)	h k l
21.73	29.3	3 1 -2
22.32	24.2	6 0 -4
22.61	25.3	2 0 3
22.95	55.8	6 0 0
23.42	100.0	1 1 2
23.93	25.1	3 1 -3
24.74	63.7	4 0 -5
25.78	43.4	5 1 -3
36.15	25.2	3 1 -6
44.62	24.1	6 2 0

Structure:
```
data_K3Rb7Na4
_cell_length_a 27.5465
_cell_length_b 4.7674
_cell_length_c 17.9992
_cell_angle_alpha 90.00
_cell_angle_beta 122.45
_cell_angle_gamma 90.00
_space_group_name_H-M_alt 'C 1 2/m 1'
_space_group_IT_number 12
loop_
_space_group_symop_operation_xyz
'x,y,z'
'-x,-y,-z'
'-x,y,-z'
'x,-y,z'
'x+1/2,y+1/2,z'
'-x+1/2,-y+1/2,-z'
'-x+1/2,y+1/2,-z'
'x+1/2,-y+1/2,z'
loop_
_atom_site_label
_atom_site_type_symbol
_atom_site_fract_x
_atom_site_fract_y
_atom_site_fract_z
K1 K 0.0000 0.0000 0.0000
K2 K 0.2089 0.5000 0.6913
Rb1 Rb 0.0000 0.0000 0.5000
Rb2 Rb 0.0056 0.5000 0.7623
Rb3 Rb 0.1628 0.0000 0.4343
Rb4 Rb 0.1803 0.5000 0.0243
Na1 Na 0.1386 0.0000 0.7896
Na2 Na 0.1409 0.5000 0.2162
```

No. 6
Theoretical X-ray diffraction stick pattern
Compound: K6Rb10Na
Radiation: λ = 1.5418 Å (Cu Kα)
Structure: a crystal structure in Alexandria, relaxed with PBE
Neutral-atom scattering factors, no anomalous dispersion.

Largest 10 diffraction maxima, by angle, 15° ≤ 2θ ≤ 90°:
2θ/deg	I (rel.)	h k l
20.32	34.3	2 1 0
20.95	20.6	1 0 2
22.56	98.3	2 1 1
23.07	61.2	3 0 0
23.64	100.0	2 -1 2
33.27	31.4	2 2 2
35.23	21.1	5 -2 1
36.00	23.0	2 1 3
36.81	23.1	4 0 2
45.36	18.4	3 3 2

Structure:
```
data_K6Rb10Na
_cell_length_a 13.3545
_cell_length_b 13.3545
_cell_length_c 9.1146
_cell_angle_alpha 90.00
_cell_angle_beta 90.00
_cell_angle_gamma 120.00
_space_group_name_H-M_alt 'P -3 1 m'
_space_group_IT_number 162
_space_group_name_Hall '-P 3 2'
loop_
_atom_site_label
_atom_site_type_symbol
_atom_site_fract_x
_atom_site_fract_y
_atom_site_fract_z
K1 K 0.0000 0.3920 0.2259
Rb1 Rb 0.0000 0.2523 0.7241
Rb2 Rb 0.3333 0.6667 0.0000
Rb3 Rb 0.3333 0.6667 0.5000
Na1 Na 0.0000 0.0000 0.0000
```

No. 7
Theoretical X-ray diffraction stick pattern
Compound: K2Rb12Na
Radiation: λ = 1.5418 Å (Cu Kα)
Structure: a crystal structure in Alexandria, relaxed with PBE
Neutral-atom scattering factors, no anomalous dispersion.

Largest 10 diffraction maxima, by angle, 15° ≤ 2θ ≤ 90°:
2θ/deg	I (rel.)	h k l
20.07	100.0	2 0 2
21.21	31.9	1 1 6
21.62	33.5	0 0 8
23.11	21.0	2 1 3
24.21	20.2	2 1 4
25.29	81.7	2 0 6
25.60	28.1	1 1 8
27.45	52.9	2 2 0
37.92	28.5	3 1 8
43.23	25.4	2 0 14

Structure:
```
data_K2Rb12Na
_cell_length_a 9.1893
_cell_length_b 9.1893
_cell_length_c 32.8878
_cell_angle_alpha 90.00
_cell_angle_beta 90.00
_cell_angle_gamma 90.00
_space_group_name_H-M_alt 'P 4/n b m'
_space_group_IT_number 125
loop_
_space_group_symop_operation_xyz
'x,y,z'
'-x,-y,-z'
'-y+1/2,x,z'
'y+1/2,-x,-z'
'-x+1/2,-y+1/2,z'
'x+1/2,y+1/2,-z'
'y,-x+1/2,z'
'-y,x+1/2,-z'
'x,-y+1/2,-z'
'-x,y+1/2,z'
'-y+1/2,-x+1/2,-z'
'y+1/2,x+1/2,z'
'-x+1/2,y,-z'
'x+1/2,-y,z'
'y,x,-z'
'-y,-x,z'
loop_
_atom_site_label
_atom_site_type_symbol
_atom_site_fract_x
_atom_site_fract_y
_atom_site_fract_z
K1 K 0.2500 0.7500 0.2349
Rb1 Rb 0.9997 0.0003 0.4205
Rb2 Rb 0.0732 0.5732 0.0664
Rb3 Rb 0.2500 0.2500 0.1725
Rb4 Rb 0.2500 0.2500 0.3080
Na1 Na 0.2500 0.7500 0.5000
```

No. 8
Theoretical X-ray diffraction stick pattern
Compound: K2Rb5Na4
Radiation: λ = 1.5418 Å (Cu Kα)
Structure: a crystal structure in Alexandria, relaxed with PBE
Neutral-atom scattering factors, no anomalous dispersion.

Largest 10 diffraction maxima, by angle, 15° ≤ 2θ ≤ 90°:
2θ/deg	I (rel.)	h k l
15.44	15.3	1 1 1
21.63	29.6	3 1 0
22.38	15.5	2 0 -3
24.68	100.0	1 1 3
24.89	28.3	0 2 0
25.09	21.9	4 0 1
35.64	17.1	4 2 1
43.71	20.6	1 3 3
43.95	13.2	5 1 4
45.35	15.0	5 1 -5

Structure:
```
data_K2Rb5Na4
_cell_length_a 15.1009
_cell_length_b 7.1541
_cell_length_c 13.3954
_cell_angle_alpha 90.00
_cell_angle_beta 94.58
_cell_angle_gamma 90.00
_space_group_name_H-M_alt 'C 1 2/m 1'
_space_group_IT_number 12
loop_
_space_group_symop_operation_xyz
'x,y,z'
'-x,-y,-z'
'-x,y,-z'
'x,-y,z'
'x+1/2,y+1/2,z'
'-x+1/2,-y+1/2,-z'
'-x+1/2,y+1/2,-z'
'x+1/2,-y+1/2,z'
loop_
_atom_site_label
_atom_site_type_symbol
_atom_site_fract_x
_atom_site_fract_y
_atom_site_fract_z
K1 K 0.0611 0.0000 0.1606
Rb1 Rb 0.0000 0.0000 0.5000
Rb2 Rb 0.1457 0.5000 0.9472
Rb3 Rb 0.1988 0.5000 0.5997
Na1 Na 0.0723 0.5000 0.3056
Na2 Na 0.2033 0.0000 0.7686
```

Number 4 is which compound? K12Rb16Na

What is the formula in the second record? K3Rb3Na5